Starting from a cell relaxed with GGA-PBE, the powder XRD pattern of Ag5Sb3 was simulated for a wavelength of 1.5418 Å.
Lines closer than 0.1° are merged.

Main lines, sorted by position (10° ≤ 2θ ≤ 90°):
2θ 35.26, rel. 100; 2θ 40.61, rel. 16; 2θ 41.02, rel. 17; 2θ 41.18, rel. 16; 2θ 59.53, rel. 11; 2θ 70.43, rel. 11; 2θ 71.00, rel. 12; 2θ 71.23, rel. 12

Atomic structure:
Cell: 6.2421 6.2421 4.4006 Å, 90.00 90.00 90.77°
Element x y z (fractional)
Ag 0.0000 0.0000 0.0000
Ag 0.0000 0.5000 0.0000
Ag 0.2494 0.2494 0.5000
Ag 0.5000 0.0000 0.0000
Ag 0.7506 0.7506 0.5000
Sb 0.2277 0.7723 0.5000
Sb 0.5000 0.5000 0.0000
Sb 0.7723 0.2277 0.5000